The following is a calculated X-ray diffraction stick pattern of Li2MnAsO6. It was derived from a crystal structure in Alexandria, relaxed with PBE+U, using copper Kα.

Structural model:
a b c (Å): 5.179 5.179 5.179
angles (deg): 57.48 57.48 57.48
Positions (direct):
Li  0.000  0.000  0.000
Li  0.496  0.496  0.496
Mn  0.213  0.213  0.213
As  0.715  0.715  0.715
O  0.077  0.453  0.830
O  0.347  0.940  0.586
O  0.453  0.830  0.077
O  0.586  0.347  0.940
O  0.830  0.077  0.453
O  0.940  0.586  0.347

Most intense lines, 2θ from 10° to 90°, sorted by position:
two_theta	intensity
24.82	1000
34.69	330
36.06	179
41.90	156
44.27	86
50.91	199
56.49	278
58.37	135
63.96	131
64.84	131